Starting from a structure optimized by DFT (PBE+U), the PXRD pattern of Y2CoNO3 was calculated for Cu Kα (weighted mean of Kα1 and Kα2).
Peak positions follow from Bragg's law for the DFT cell and can differ from measured ones.

Main lines, in order of rising 2θ (10 to 80 degrees two-theta):
d = 2.726 Å, I = 100.0, (3 1 1)
d = 2.647 Å, I = 36.9, (0 2 0)
d = 2.571 Å, I = 36.9, (0 0 2)
d = 2.028 Å, I = 27.2, (5 1 1)
d = 2.023 Å, I = 12.1, (6 0 0)
d = 1.995 Å, I = 10.6, (4 2 0)
d = 1.844 Å, I = 36.9, (0 2 2)
d = 1.543 Å, I = 17.9, (3 3 1)
d = 1.512 Å, I = 16.5, (3 1 3)
d = 1.363 Å, I = 10.7, (6 2 2)

Cell and atoms:
Cell lengths 12.1396, 5.2945, 5.1417 Å; angles 90.00, 90.00, 90.00 degrees
Space group Cmcm (No. 63)
Asymmetric unit:
Y1 0.1384 0.2342 0.2500 x8
Co1 0.0000 0.2616 0.7500 x4
N1 0.0000 0.5000 0.0000 x4
O1 0.0000 0.0000 0.0000 x4
O2 0.1829 0.2016 0.7500 x8